The following is a theoretical powder XRD pattern of Dy2TmIn2Ag2. It was derived from a structure optimized by DFT (GGA-PBE), using λ = 1.5418 Å (Cu Kα).

a = 4.8189 Å, b = 4.8189 Å, c = 26.6492 Å
α = 90.00°, β = 90.00°, γ = 120.00°
Space group R-3m (No. 166, hexagonal axes)
Symmetry-distinct sites (fractional):
Dy (0.0000, 0.0000, 0.1257) x6
Tm (0.0000, 0.0000, 0.0000) x3
In (0.0000, 0.0000, 0.2607) x6
Ag (0.0000, 0.0000, 0.3933) x6

Top 12 peaks for 2θ = 10–90°, low angle first:
| 2θ (°) | I/Imax | (hkl) |
| --- | --- | --- |
| 21.55 | 18 | 1 0 1 |
| 31.82 | 45 | 1 0 7 |
| 34.45 | 95 | 0 1 8 |
| 37.32 | 100 | 1 1 0 |
| 49.84 | 13 | 0 2 7 |
| 51.69 | 30 | 2 0 8 |
| 63.88 | 12 | 2 1 7 |
| 65.25 | 26 | 1 1 15 |
| 65.47 | 29 | 1 2 8 |
| 67.31 | 17 | 3 0 0 |
| 89.47 | 12 | 3 0 15 |
| 89.68 | 13 | 3 1 8 |